(1)
Diffraction record for NbFeO4. The XRD peak list is computed, not measured: it uses a crystal structure in the Materials Project, relaxed with GGA+U and λ = 1.5418 Å (Cu Kα).

Main lines, in order of falling intensity (10 to 80 degrees two-theta):
| (hkl) | two_theta | I (rel.) |
| --- | --- | --- |
| 1 2 1 | 30.2 | 100 |
| 1 2 0 | 24.5 | 32 |
| 2 4 1 | 53.5 | 26 |
| 0 4 2 | 52.8 | 18 |
| 2 0 1 | 36.1 | 16 |
| 3 2 0 | 51.9 | 15 |

Structure:
a b c (Å): 5.6991 9.4580 5.1030
angles (deg): 90.00 90.00 90.00
Space group Pna2_1 (No. 33)
Unique sites:
Nb  0.0810  0.1271  0.0000 x4
Fe  0.0759  0.6207  0.9783 x4
O  0.1153  0.7400  0.3066 x4
O  0.1368  0.0096  0.6462 x4
O  0.1374  0.5156  0.6365 x4
O  0.1433  0.2406  0.3045 x4

(2)
Diffraction record for Nb2Fe4O9. The XRD peak list is computed, not measured: it uses a crystal structure in the Materials Project, relaxed with GGA+U and λ = 1.5418 Å (Cu Kα).

Main lines, in order of falling intensity (10 to 80 degrees two-theta):
| (hkl) | two_theta | I (rel.) |
| --- | --- | --- |
| 1 0 4 | 31.7 | 100 |
| 1 1 0 | 33.5 | 76 |
| 0 2 4 | 46.8 | 39 |
| 1 1 6 | 51.4 | 38 |
| 2 1 4 | 58.8 | 36 |
| 3 0 0 | 60.0 | 30 |

Structure:
a b c (Å): 5.3449 5.3449 14.2624
angles (deg): 90.00 90.00 120.00
Space group P-3c1 (No. 165)
Unique sites:
Nb  0.0000  0.0000  0.1412 x4
Fe  0.3333  0.6667  0.0158 x4
Fe  0.3333  0.6667  0.3066 x4
O  0.0000  0.2832  0.2500 x6
O  0.0235  0.3377  0.9160 x12

(3)
Diffraction record for NbFeO4. The XRD peak list is computed, not measured: it uses a crystal structure in the Materials Project, relaxed with GGA+U and λ = 1.5418 Å (Cu Kα).

Main lines, in order of falling intensity (10 to 80 degrees two-theta):
| (hkl) | two_theta | I (rel.) |
| --- | --- | --- |
| 1 0 1 | 24.4 | 100 |
| 2 0 0 | 46.4 | 24 |
| 2 1 1 | 53.1 | 21 |
| 1 1 2 | 37.0 | 20 |
| 0 0 4 | 35.7 | 19 |
| 1 0 5 | 51.0 | 18 |

Structure:
a b c (Å): 3.9170 3.9170 10.0731
angles (deg): 90.00 90.00 90.00
Space group I-4m2 (No. 119)
Unique sites:
Nb  0.0000  0.0000  0.0000 x2
Fe  0.0000  0.5000  0.7500 x2
O  0.0000  0.0000  0.2006 x4
O  0.0000  0.5000  0.5400 x4

(4)
Diffraction record for NbFeO4. The XRD peak list is computed, not measured: it uses a crystal structure in the Materials Project, relaxed with GGA+U and λ = 1.5418 Å (Cu Kα).

Main lines, in order of falling intensity (10 to 80 degrees two-theta):
| (hkl) | two_theta | I (rel.) |
| --- | --- | --- |
| 2 1 1 | 34.0 | 100 |
| 1 1 1 | 22.8 | 78 |
| 1 0 2 | 25.3 | 62 |
| 1 0 0 | 14.3 | 58 |
| 1 0 3 | 34.6 | 48 |
| 2 2 4 | 60.5 | 37 |

Structure:
a b c (Å): 6.1904 6.1904 8.5594
angles (deg): 90.00 90.00 90.00
Space group P4_322 (No. 95)
Unique sites:
Nb  0.0000  0.2944  0.0000 x4
Fe  0.2349  0.2349  0.6250 x4
O  0.0049  0.2221  0.2307 x8
O  0.2228  0.4961  0.9779 x8

(5)
Diffraction record for NbFeO4. The XRD peak list is computed, not measured: it uses a crystal structure in the Materials Project, relaxed with GGA+U and λ = 1.5418 Å (Cu Kα).

Main lines, in order of falling intensity (10 to 80 degrees two-theta):
| (hkl) | two_theta | I (rel.) |
| --- | --- | --- |
| 1 1 -2 | 30.2 | 100 |
| 1 1 2 | 30.3 | 99 |
| 1 1 0 | 24.5 | 65 |
| 0 2 2 | 36.2 | 32 |
| 1 3 0 | 51.9 | 30 |
| 0 0 4 | 35.3 | 26 |

Structure:
a b c (Å): 4.7138 5.6934 10.1607
angles (deg): 90.00 90.26 90.00
Space group P2 (No. 3)
Unique sites:
Nb  0.0000  0.0000  0.0000 x1
Nb  0.0051  0.6426  0.7552 x2
Nb  0.5000  0.4703  0.5000 x1
Fe  0.0000  0.9844  0.5000 x1
Fe  0.4977  0.1369  0.7454 x2
Fe  0.5000  0.4706  0.0000 x1
O  0.2172  0.9218  0.6678 x2
O  0.2264  0.9271  0.1617 x2
O  0.2272  0.6970  0.9153 x2
O  0.2333  0.6906  0.4143 x2
O  0.2666  0.4268  0.6659 x2
O  0.2704  0.1961  0.9156 x2
O  0.2708  0.4332  0.1662 x2
O  0.2782  0.2003  0.4165 x2

(6)
Diffraction record for NbFeO4. The XRD peak list is computed, not measured: it uses a crystal structure in the Materials Project, relaxed with GGA+U and λ = 1.5418 Å (Cu Kα).

Main lines, in order of falling intensity (10 to 80 degrees two-theta):
| (hkl) | two_theta | I (rel.) |
| --- | --- | --- |
| 1 1 1 | 30.2 | 100 |
| 0 1 1 | 24.4 | 33 |
| 1 2 2 | 53.4 | 23 |
| 3 0 2 | 64.3 | 21 |
| 2 2 0 | 53.1 | 18 |
| 1 0 2 | 36.1 | 16 |

Structure:
a b c (Å): 5.0459 4.7326 5.7177
angles (deg): 90.00 90.00 90.00
Space group Pnc2 (No. 30)
Unique sites:
Nb  0.0000  0.0000  0.0000 x2
Fe  0.5000  0.0000  0.6467 x2
O  0.1688  0.2277  0.6956 x4
O  0.3214  0.7244  0.4216 x4

(7)
Diffraction record for Nb3FeP6O24. The XRD peak list is computed, not measured: it uses a crystal structure in the Materials Project, relaxed with GGA+U and λ = 1.5418 Å (Cu Kα).

Main lines, in order of falling intensity (10 to 80 degrees two-theta):
| (hkl) | two_theta | I (rel.) |
| --- | --- | --- |
| 1 0 4 | 19.8 | 100 |
| 1 1 3 | 23.5 | 82 |
| 0 2 4 | 28.4 | 65 |
| 1 1 0 | 20.2 | 64 |
| 0 1 2 | 14.1 | 49 |
| 2 -1 6 | 31.6 | 42 |

Structure:
a b c (Å): 8.7847 8.7847 22.2399
angles (deg): 90.00 90.00 120.00
Space group R3 (No. 146, hexagonal axes)
Unique sites:
Nb  0.0000  0.0000  0.0000 x3
Nb  0.0000  0.0000  0.2179 x3
Nb  0.0000  0.0000  0.7187 x3
Fe  0.0000  0.0000  0.5005 x3
P  0.0007  0.2813  0.6072 x9
P  0.0065  0.7158  0.1092 x9
O  0.0223  0.8273  0.0528 x9
O  0.0276  0.1981  0.2682 x9
O  0.0286  0.2012  0.5515 x9
O  0.0297  0.8304  0.7679 x9
O  0.1614  0.4694  0.3315 x9
O  0.1615  0.4689  0.6168 x9
O  0.1626  0.6932  0.8314 x9
O  0.1656  0.6952  0.1147 x9

(8)
Diffraction record for NbFeP2O8. The XRD peak list is computed, not measured: it uses a crystal structure in the Materials Project, relaxed with GGA+U and λ = 1.5418 Å (Cu Kα).

Main lines, in order of falling intensity (10 to 80 degrees two-theta):
| (hkl) | two_theta | I (rel.) |
| --- | --- | --- |
| 0 0 2 | 17.5 | 100 |
| 0 2 0 | 29.0 | 96 |
| 1 1 -1 | 24.2 | 79 |
| 1 1 -3 | 34.5 | 70 |
| 1 1 1 | 24.9 | 59 |
| 1 0 1 | 20.2 | 53 |

Structure:
a b c (Å): 4.9992 6.1677 10.1528
angles (deg): 90.00 92.76 90.00
Space group P2_1/m (No. 11)
Unique sites:
Nb  0.0519  0.2500  0.2800 x2
Fe  0.4556  0.2500  0.7780 x2
P  0.0764  0.7500  0.4059 x2
P  0.3972  0.7500  0.9020 x2
O  0.1790  0.7500  0.5518 x2
O  0.2036  0.5489  0.3333 x4
O  0.2269  0.2500  0.6102 x2
O  0.2480  0.5567  0.8261 x4
O  0.3005  0.2500  0.1224 x2
O  0.3501  0.7500  0.0479 x2